The following is a calculated X-ray powder pattern of Ba14Na8CaN6. It was derived from a cell relaxed with PBE, using Cu Kα.

The 8 most intense peaks (10° ≤ 2θ ≤ 90°), in order of rising 2θ:
Position (°2θ)	I_rel	hkl
23.8	23.1	1 2 0
25.8	100.0	1 1 5
26.8	17.5	2 1 3
27.0	67.1	3 0 0
32.6	17.6	1 3 0
37.7	19.3	2 2 5
41.6	18.4	0 0 10
50.3	19.9	3 0 10

Structural model:
```
data_Ba14Na8CaN6
_space_group_name_H-M_alt 'P 63/m'
_space_group_IT_number 176
_space_group_name_Hall '-P 6c'
_cell_length_a 11.4363
_cell_length_b 11.4363
_cell_length_c 21.6942
_cell_angle_alpha 90.00
_cell_angle_beta 90.00
_cell_angle_gamma 120.00
loop_
_atom_site_label
_atom_site_type_symbol
_atom_site_fract_x
_atom_site_fract_y
_atom_site_fract_z
Ba1 Ba 0.0000 0.0000 0.1510
Ba2 Ba 0.0381 0.2919 0.0498
Ba3 Ba 0.0502 0.3799 0.6384
Na1 Na 0.0432 0.3546 0.2500
Na2 Na 0.3333 0.6667 0.1660
Na3 Na 0.3333 0.6667 0.5084
Na4 Na 0.3333 0.6667 0.7500
Ca1 Ca 0.0000 0.0000 0.0000
N1 N 0.0271 0.1952 0.5682
```

=====

The following is a calculated X-ray powder pattern of Ba14Na17CaN6. It was derived from a cell relaxed with PBE, using Cu Kα.

The 8 most intense peaks (10° ≤ 2θ ≤ 90°), in order of rising 2θ:
Position (°2θ)	I_rel	hkl
24.5	32.2	3 1 1
25.4	45.9	-2 2 1
26.6	35.5	0 1 -3
26.8	74.5	1 0 -3
27.1	45.2	3 2 1
27.3	100.0	2 2 4
28.0	34.8	0 3 -1
28.5	49.0	3 -1 2

Structural model:
```
data_Ba14Na17CaN6
_space_group_name_H-M_alt 'P -1'
_space_group_IT_number 2
_space_group_name_Hall '-P 1'
_cell_length_a 11.1562
_cell_length_b 11.9708
_cell_length_c 13.7111
_cell_angle_alpha 66.69
_cell_angle_beta 67.53
_cell_angle_gamma 78.88
loop_
_atom_site_label
_atom_site_type_symbol
_atom_site_fract_x
_atom_site_fract_y
_atom_site_fract_z
Ba1 Ba 0.0233 0.2096 0.3815
Ba2 Ba 0.1153 0.4301 0.7661
Ba3 Ba 0.1304 0.2193 0.0544
Ba4 Ba 0.1601 0.8394 0.0430
Ba5 Ba 0.2245 0.6924 0.8024
Ba6 Ba 0.2379 0.4790 0.0939
Ba7 Ba 0.4706 0.3803 0.8215
Na1 Na 0.0884 0.0868 0.6855
Na2 Na 0.1322 0.5989 0.3955
Na3 Na 0.2636 0.9049 0.2916
Na4 Na 0.3332 0.3083 0.4432
Na5 Na 0.3532 0.9742 0.4889
Na6 Na 0.3673 0.1082 0.7417
Na7 Na 0.4043 0.6465 0.4847
Na8 Na 0.4583 0.1820 0.1875
Na9 Na 0.5000 0.0000 0.0000
Ca1 Ca 0.0000 0.5000 0.0000
N1 N 0.0119 0.3573 0.1935
N2 N 0.0746 0.6744 0.0234
N3 N 0.2370 0.4406 0.9057
```

=====

The following is a calculated X-ray powder pattern of Ba14Na7CaN6. It was derived from a cell relaxed with PBE, using Cu Kα.

The 8 most intense peaks (10° ≤ 2θ ≤ 90°), in order of rising 2θ:
Position (°2θ)	I_rel	hkl
22.8	20.0	0 2 10
23.9	25.4	2 1 1
24.9	23.0	1 2 5
26.3	100.0	1 1 15
26.4	24.2	1 2 8
27.1	55.1	3 0 0
32.8	23.3	1 3 1
33.6	19.6	2 0 20

Structural model:
```
data_Ba14Na7CaN6
_space_group_name_H-M_alt 'R -3 c'
_space_group_IT_number 167
_space_group_name_Hall '-R 3 2"c'
_cell_length_a 11.3977
_cell_length_b 11.3977
_cell_length_c 63.3121
_cell_angle_alpha 90.00
_cell_angle_beta 90.00
_cell_angle_gamma 120.00
loop_
_atom_site_label
_atom_site_type_symbol
_atom_site_fract_x
_atom_site_fract_y
_atom_site_fract_z
Ba1 Ba 0.0000 0.0000 0.0527
Ba2 Ba 0.0104 0.2758 0.1200
Ba3 Ba 0.0382 0.4199 0.6494
Na1 Na 0.0000 0.0000 0.1647
Na2 Na 0.0000 0.0000 0.2219
Na3 Na 0.0000 0.2938 0.2500
Ca1 Ca 0.0000 0.0000 0.0000
N1 N 0.0343 0.1984 0.0235
```